Diffraction record for RbLaW2O8. The powder X-ray diffraction pattern is computed, not measured: it uses the GGA+U geometry in the Materials Project and λ = 1.5418 Å (Cu Kα).
Intensities are scaled so that the largest is 100.

Most intense lines, 5° ≤ 2θ ≤ 70°, sorted by position:
26.3°, I 100, (2 2 0)
26.9°, I 55, (3 1 -1)
27.0°, I 53, (1 3 -1)
28.2°, I 65, (0 0 2)
28.5°, I 86, (2 2 -2)
32.8°, I 46, (1 3 1)

Crystal structure
```
data_RbLaW2O8
_chemical_formula_sum 'Rb4 La4 W8 O32'
_space_group_name_H-M_alt 'C 1 2/m 1'
_space_group_IT_number 12
_space_group_name_Hall '-C 2y'
_cell_length_a 10.563
_cell_length_b 10.994
_cell_length_c 7.756
_cell_angle_alpha 90.00
_cell_angle_beta 125.35
_cell_angle_gamma 90.00
loop_
_atom_site_label
_atom_site_type_symbol
_atom_site_fract_x
_atom_site_fract_y
_atom_site_fract_z
_atom_site_occupancy
Rb1 Rb 0.186 0.000 0.033 1
La1 La 0.000 0.201 0.500 1
W1 W 0.000 0.339 0.000 1
W2 W 0.201 0.500 0.432 1
O1 O 0.015 0.500 0.847 1
O2 O 0.045 0.239 0.856 1
O3 O 0.082 0.000 0.406 1
O4 O 0.165 0.374 0.551 1
O5 O 0.216 0.373 0.234 1
```